No. 1
Structure and theoretical powder diffractogram of Ba3Mo (a GGA-PBE-relaxed structure; Cu Kα).
No peak broadening, texture or thermal motion is included.

Main lines, sorted by position (10° ≤ 2θ ≤ 90°):
2θ/deg, intensity
17.46, 1
28.71, 100
33.80, 1
41.05, 19
50.86, 40
59.45, 12
67.33, 17
74.79, 4
81.98, 20
89.05, 2

Cell and atoms:
```
data_Ba3Mo
_chemical_formula_sum 'Ba12 Mo4'
_space_group_name_H-M_alt 'F m -3 m'
_space_group_IT_number 225
_space_group_name_Hall '-F 4 2 3'
_cell_length_a 8.7951
_cell_length_b 8.7951
_cell_length_c 8.7951
_cell_angle_alpha 90.00
_cell_angle_beta 90.00
_cell_angle_gamma 90.00
loop_
_atom_site_label
_atom_site_type_symbol
_atom_site_fract_x
_atom_site_fract_y
_atom_site_fract_z
_atom_site_occupancy
Ba1 Ba 0.0000 0.0000 0.0000 1
Ba2 Ba 0.2500 0.2500 0.2500 1
Mo1 Mo 0.0000 0.0000 0.5000 1
```

=====

No. 2
Structure and theoretical powder diffractogram of TlAuO2 (a GGA-PBE-relaxed structure; Cu Kα).
No peak broadening, texture or thermal motion is included.

Main lines, sorted by position (10° ≤ 2θ ≤ 90°):
2θ/deg, intensity
28.19, 36
30.66, 100
34.85, 59
48.51, 30
51.67, 26
57.05, 19
59.90, 27
61.29, 14
81.63, 12
84.22, 12

Cell and atoms:
```
data_TlAuO2
_chemical_formula_sum 'Tl3 Au3 O6'
_space_group_name_H-M_alt 'R -3 m'
_space_group_IT_number 166
_space_group_name_Hall '-R 3 2"'
_cell_length_a 3.5382
_cell_length_b 3.5382
_cell_length_c 18.9914
_cell_angle_alpha 90.00
_cell_angle_beta 90.00
_cell_angle_gamma 120.00
loop_
_atom_site_label
_atom_site_type_symbol
_atom_site_fract_x
_atom_site_fract_y
_atom_site_fract_z
_atom_site_occupancy
Tl1 Tl 0.0000 0.0000 0.0000 1
Au1 Au 0.0000 0.0000 0.5000 1
O1 O 0.0000 0.0000 0.3922 1
```

=====

No. 3
Structure and theoretical powder diffractogram of Mg3TiNi2 (a GGA-PBE-relaxed structure; Cu Kα).
No peak broadening, texture or thermal motion is included.

Main lines, sorted by position (10° ≤ 2θ ≤ 90°):
2θ/deg, intensity
13.19, 86
37.91, 16
40.31, 100
44.06, 21
46.19, 9
46.89, 25
51.54, 9
68.48, 23
82.56, 20
87.11, 9

Cell and atoms:
Lattice parameters (Å, degrees): 11.6267 11.6267 11.6267 90.00 90.00 90.00
Space group Fd-3m (No. 227, origin choice 2)
Unique sites:
1 Mg 0.0676 0.3750 0.3750 [48 per cell]
2 Ti 0.0000 0.0000 0.5000 [16 per cell]
3 Ni 0.0445 0.0445 0.7055 [32 per cell]